Structure and calculated PXRD pattern of Sr5Ru2N6 (a DFT-relaxed cell (GGA-PBE, Alexandria); copper Kα).
Kinematic intensities with the Lorentz-polarization factor, no thermal factor.

Structural model:
```
Sr5Ru2N6
1.0
5.259 -3.447 0.000
5.259 3.447 0.000
-2.911 0.000 12.952
Sr Ru N
10 4 12
Cartesian
3.076 2.641 9.714
4.592 1.804 0.019
2.768 0.692 3.653
4.471 1.804 6.457
1.313 -0.692 10.129
6.294 0.692 2.823
3.136 -1.804 6.495
4.839 -0.692 9.299
3.016 -1.804 12.933
4.531 -2.641 3.238
1.207 0.692 7.232
2.662 -0.692 0.756
4.945 0.692 12.196
6.400 -0.692 5.720
-0.323 0.302 8.321
0.967 0.252 5.450
1.133 -0.302 1.845
-0.489 -0.252 11.926
2.860 0.324 8.083
4.316 -0.324 1.607
3.292 0.324 11.345
4.747 -0.324 4.869
8.096 0.252 1.026
6.475 0.302 11.108
6.641 -0.252 7.502
7.930 -0.302 4.632
```

Most intense lines, 2θ from 10° to 80°, most intense first:
2θ 31.29, 2.859 Å, I 100; 2θ 32.33, 2.769 Å, I 92; 2θ 33.26, 2.694 Å, I 82; 2θ 27.55, 3.238 Å, I 47; 2θ 30.00, 2.979 Å, I 40; 2θ 35.87, 2.504 Å, I 34; 2θ 29.14, 3.064 Å, I 33; 2θ 52.23, 1.751 Å, I 32; 2θ 49.87, 1.828 Å, I 32; 2θ 29.70, 3.008 Å, I 31